Computed powder diffraction line list
Compound: CeSe2
Radiation: Cu Kα, 1.54184 Å
Structure: a crystal structure in the Materials Project, relaxed with PBE

Cell and atoms:
Unit cell a=12.154 b=20.963 c=12.100 alpha=90.00 beta=119.85 gamma=90.00
Space group C2/c (No. 15)
One atom of each set of equivalent atoms:
Ce: 0.006 0.158 0.039 (multiplicity 8)
Ce: 0.142 0.391 0.073 (multiplicity 8)
Se: 0.000 0.117 0.250 (multiplicity 4)
Se: 0.000 0.500 0.000 (multiplicity 4)
Se: 0.011 0.288 0.472 (multiplicity 8)
Se: 0.192 0.104 0.671 (multiplicity 8)
Se: 0.231 0.125 0.057 (multiplicity 8)

Top 6 peaks for 5° ≤ 2θ ≤ 70°, low angle first:
hkl, Position (°2θ), d/Å, Rel. int.
1 1 1, 15.20, 5.830, 33
0 4 0, 16.89, 5.249, 100
1 3 1, 19.37, 4.583, 11
1 1 -5, 39.62, 2.275, 14
1 9 -2, 41.51, 2.175, 11
1 9 2, 45.11, 2.010, 15

=====

Computed powder diffraction line list
Compound: RbLiMg6
Radiation: Cu Kα, 1.54184 Å
Structure: a crystal structure in the Materials Project, relaxed with PBE

Cell and atoms:
Unit cell a=5.310 b=7.036 c=11.880 alpha=90.00 beta=90.00 gamma=90.00
Space group Amm2 (No. 38)
One atom of each set of equivalent atoms:
Rb: 0.000 0.000 0.000 (multiplicity 2)
Li: 0.500 0.000 0.176 (multiplicity 2)
Mg: 0.000 0.000 0.489 (multiplicity 2)
Mg: 0.000 0.249 0.747 (multiplicity 4)
Mg: 0.500 0.000 0.659 (multiplicity 2)
Mg: 0.500 0.218 0.396 (multiplicity 4)

Top 6 peaks for 5° ≤ 2θ ≤ 70°, low angle first:
hkl, Position (°2θ), d/Å, Rel. int.
1 1 1, 22.27, 3.992, 47
0 2 2, 29.51, 3.027, 42
2 0 0, 33.76, 2.655, 37
1 2 2, 34.10, 2.630, 100
1 0 4, 34.61, 2.592, 60
2 2 2, 45.44, 1.996, 24

=====

Computed powder diffraction line list
Compound: ZnGeN2
Radiation: Cu Kα, 1.54184 Å
Structure: a crystal structure in the Materials Project, relaxed with PBE

Cell and atoms:
Unit cell a=3.2135 b=3.2135 c=5.3510 alpha=90.00 beta=90.00 gamma=120.00
Space group P3m1 (No. 156)
One atom of each set of equivalent atoms:
Zn: 0.0000 0.0000 0.0000 (multiplicity 1)
Ge: 0.3333 0.6667 0.4680 (multiplicity 1)
N: 0.0000 0.0000 0.6047 (multiplicity 1)
N: 0.3333 0.6667 0.1321 (multiplicity 1)

Top 6 peaks for 5° ≤ 2θ ≤ 70°, low angle first:
hkl, Position (°2θ), d/Å, Rel. int.
1 0 0, 32.16, 2.783, 42
0 0 2, 33.49, 2.676, 34
0 1 1, 36.39, 2.469, 100
1 1 0, 57.34, 1.607, 29
0 1 3, 61.78, 1.502, 30
1 1 2, 68.07, 1.377, 24

=====

Computed powder diffraction line list
Compound: TePb2Se
Radiation: Cu Kα, 1.54184 Å
Structure: a crystal structure in the Materials Project, relaxed with PBE

Cell and atoms:
Unit cell a=4.5231 b=4.5231 c=22.1474 alpha=90.00 beta=90.00 gamma=120.00
Space group R-3m (No. 166, hexagonal axes)
One atom of each set of equivalent atoms:
Te: 0.0000 0.0000 0.0000 (multiplicity 3)
Pb: 0.0000 0.0000 0.2450 (multiplicity 6)
Se: 0.0000 0.0000 0.5000 (multiplicity 3)

Top 6 peaks for 5° ≤ 2θ ≤ 70°, low angle first:
hkl, Position (°2θ), d/Å, Rel. int.
0 1 2, 24.10, 3.692, 20
1 0 4, 27.90, 3.198, 100
1 1 0, 39.87, 2.261, 77
0 2 4, 49.36, 1.846, 28
2 0 8, 57.65, 1.599, 13
2 1 4, 65.24, 1.430, 36

=====

Computed powder diffraction line list
Compound: RbMg14SbO16
Radiation: Cu Kα, 1.54184 Å
Structure: a crystal structure in the Materials Project, relaxed with PBE

Cell and atoms:
Unit cell a=8.779 b=8.779 c=4.537 alpha=90.00 beta=90.00 gamma=90.00
Space group P4/mmm (No. 123)
One atom of each set of equivalent atoms:
Rb: 0.000 0.000 0.000 (multiplicity 1)
Mg: 0.000 0.252 0.500 (multiplicity 4)
Mg: 0.000 0.500 0.000 (multiplicity 2)
Mg: 0.237 0.500 0.500 (multiplicity 4)
Mg: 0.244 0.244 0.000 (multiplicity 4)
Sb: 0.500 0.500 0.000 (multiplicity 1)
O: 0.000 0.000 0.500 (multiplicity 1)
O: 0.000 0.280 0.000 (multiplicity 4)
O: 0.000 0.500 0.500 (multiplicity 2)
O: 0.243 0.500 0.000 (multiplicity 4)
O: 0.252 0.252 0.500 (multiplicity 4)
O: 0.500 0.500 0.500 (multiplicity 1)

Top 6 peaks for 5° ≤ 2θ ≤ 70°, low angle first:
hkl, Position (°2θ), d/Å, Rel. int.
1 1 0, 14.27, 6.208, 34
2 2 1, 35.03, 2.562, 44
0 0 2, 39.74, 2.268, 57
4 0 0, 41.13, 2.195, 100
4 0 2, 58.52, 1.577, 62
4 4 0, 59.57, 1.552, 29

=====

Computed powder diffraction line list
Compound: Tm2IrRu
Radiation: Cu Kα, 1.54184 Å
Structure: a crystal structure in the Materials Project, relaxed with PBE

Cell and atoms:
Unit cell a=6.741 b=6.741 c=6.741 alpha=90.00 beta=90.00 gamma=90.00
Space group Fm-3m (No. 225)
One atom of each set of equivalent atoms:
Tm: 0.250 0.250 0.250 (multiplicity 8)
Ir: 0.000 0.000 0.000 (multiplicity 4)
Ru: 0.000 0.000 0.500 (multiplicity 4)

Top 6 peaks for 5° ≤ 2θ ≤ 70°, low angle first:
hkl, Position (°2θ), d/Å, Rel. int.
1 1 1, 22.85, 3.892, 4
2 2 0, 37.75, 2.383, 100
3 1 1, 44.58, 2.032, 2
4 0 0, 54.45, 1.685, 17
3 3 1, 59.80, 1.546, 1
4 2 2, 68.15, 1.376, 36